For Be4HgGe3O12, a cell relaxed with PBE gives the computed X-ray diffraction stick pattern in this record (copper Kα).
Intensities are scaled so that the largest is 100.

Structure:
a = 6.191 Å, b = 6.191 Å, c = 6.191 Å
α = 106.42°, β = 106.42°, γ = 106.42°
Sites, in units of the cell vectors:
Be1 0.000 0.000 0.000
Be2 0.000 0.438 0.562
Be3 0.438 0.562 0.000
Be4 0.562 0.000 0.438
Hg1 0.500 0.500 0.500
Ge1 0.061 0.939 0.500
Ge2 0.500 0.061 0.939
Ge3 0.939 0.500 0.061
O1 0.000 0.595 0.405
O2 0.000 0.843 0.157
O3 0.140 0.267 0.544
O4 0.157 0.000 0.843
O5 0.267 0.544 0.140
O6 0.405 0.000 0.595
O7 0.456 0.733 0.860
O8 0.544 0.140 0.267
O9 0.595 0.405 0.000
O10 0.733 0.860 0.456
O11 0.843 0.157 0.000
O12 0.860 0.456 0.733

The 10 most intense peaks (10° ≤ 2θ ≤ 90°), most intense first:
- 3.670 Å, 2θ = 24.3°, I 100
- 2.729 Å, 2θ = 32.8°, I 70
- 4.958 Å, 2θ = 17.9°, I 32
- 5.458 Å, 2θ = 16.2°, I 29
- 2.950 Å, 2θ = 30.3°, I 29
- 2.479 Å, 2θ = 36.2°, I 24
- 1.708 Å, 2θ = 53.7°, I 21
- 1.975 Å, 2θ = 45.9°, I 21
- 2.391 Å, 2θ = 37.6°, I 19
- 2.863 Å, 2θ = 31.2°, I 17

=====

For HoBe2GePd2, a cell relaxed with PBE gives the computed X-ray diffraction stick pattern in this record (copper Kα).
Intensities are scaled so that the largest is 100.

Structure:
a = 4.162 Å, b = 4.162 Å, c = 5.627 Å
α = 90.00°, β = 90.00°, γ = 90.00°
Sites, in units of the cell vectors:
Ho1 0.000 0.000 0.000
Be1 0.000 0.500 0.500
Be2 0.500 0.000 0.500
Ge1 0.000 0.000 0.500
Pd1 0.500 0.500 0.248
Pd2 0.500 0.500 0.752

The 10 most intense peaks (10° ≤ 2θ ≤ 90°), most intense first:
- 2.331 Å, 2θ = 38.6°, I 100
- 2.943 Å, 2θ = 30.4°, I 91
- 1.552 Å, 2θ = 59.6°, I 56
- 2.081 Å, 2θ = 43.5°, I 38
- 1.316 Å, 2θ = 71.7°, I 15
- 1.269 Å, 2θ = 74.8°, I 13
- 1.244 Å, 2θ = 76.6°, I 13
- 1.471 Å, 2θ = 63.2°, I 12
- 1.166 Å, 2θ = 82.8°, I 11
- 3.346 Å, 2θ = 26.6°, I 9

=====

For BeGeIr, a cell relaxed with PBE gives the computed X-ray diffraction stick pattern in this record (copper Kα).
Intensities are scaled so that the largest is 100.

Structure:
a = 7.730 Å, b = 7.450 Å, c = 5.265 Å
α = 72.59°, β = 66.87°, γ = 40.54°
Sites, in units of the cell vectors:
Be1 0.018 0.018 0.732
Be2 0.268 0.268 0.982
Be3 0.732 0.732 0.018
Be4 0.982 0.982 0.268
Ge1 0.000 0.500 0.500
Ge2 0.500 0.000 0.500
Ge3 0.500 0.500 0.000
Ge4 0.500 0.500 0.500
Ir1 0.050 0.700 0.050
Ir2 0.300 0.950 0.300
Ir3 0.700 0.050 0.700
Ir4 0.950 0.300 0.950

The 10 most intense peaks (10° ≤ 2θ ≤ 90°), most intense first:
- 3.042 Å, 2θ = 29.4°, I 100
- 2.165 Å, 2θ = 41.7°, I 90
- 3.364 Å, 2θ = 26.5°, I 66
- 3.422 Å, 2θ = 26.0°, I 48
- 1.811 Å, 2θ = 50.4°, I 38
- 1.720 Å, 2θ = 53.3°, I 31
- 2.359 Å, 2θ = 38.2°, I 27
- 2.442 Å, 2θ = 36.8°, I 26
- 1.854 Å, 2θ = 49.1°, I 26
- 2.045 Å, 2θ = 44.3°, I 25

=====

For Sm2BeGe4Ir3, a cell relaxed with PBE gives the computed X-ray diffraction stick pattern in this record (copper Kα).
Intensities are scaled so that the largest is 100.

Structure:
a = 4.216 Å, b = 4.216 Å, c = 10.246 Å
α = 90.00°, β = 90.00°, γ = 90.00°
Sites, in units of the cell vectors:
Sm1 0.000 0.500 0.249
Sm2 0.500 0.000 0.751
Be1 0.000 0.000 0.500
Ge1 0.000 0.000 0.000
Ge2 0.000 0.500 0.631
Ge3 0.500 0.000 0.369
Ge4 0.500 0.500 0.000
Ir1 0.000 0.500 0.871
Ir2 0.500 0.000 0.129
Ir3 0.500 0.500 0.500

The 10 most intense peaks (10° ≤ 2θ ≤ 90°), most intense first:
- 2.654 Å, 2θ = 33.8°, I 100
- 2.576 Å, 2θ = 34.8°, I 95
- 2.108 Å, 2θ = 42.9°, I 80
- 1.650 Å, 2θ = 55.7°, I 48
- 1.843 Å, 2θ = 49.5°, I 43
- 2.981 Å, 2θ = 30.0°, I 36
- 1.387 Å, 2θ = 67.5°, I 34
- 3.255 Å, 2θ = 27.4°, I 32
- 1.943 Å, 2θ = 46.8°, I 30
- 1.490 Å, 2θ = 62.3°, I 27

=====

For Th2Be3GeIr4, a cell relaxed with PBE gives the computed X-ray diffraction stick pattern in this record (copper Kα).
Intensities are scaled so that the largest is 100.

Structure:
a = 4.135 Å, b = 4.135 Å, c = 9.688 Å
α = 90.00°, β = 90.00°, γ = 90.00°
Sites, in units of the cell vectors:
Th1 0.000 0.500 0.234
Th2 0.500 0.000 0.766
Be1 0.000 0.500 0.888
Be2 0.500 0.000 0.112
Be3 0.500 0.500 0.500
Ge1 0.000 0.000 0.500
Ir1 0.000 0.000 0.000
Ir2 0.000 0.500 0.640
Ir3 0.500 0.000 0.360
Ir4 0.500 0.500 0.000

The 10 most intense peaks (10° ≤ 2θ ≤ 90°), most intense first:
- 2.503 Å, 2θ = 35.9°, I 100
- 2.067 Å, 2θ = 43.8°, I 52
- 2.545 Å, 2θ = 35.3°, I 43
- 3.145 Å, 2θ = 28.4°, I 40
- 2.799 Å, 2θ = 32.0°, I 34
- 1.262 Å, 2θ = 75.3°, I 24
- 1.605 Å, 2θ = 57.4°, I 22
- 1.754 Å, 2θ = 52.1°, I 22
- 1.338 Å, 2θ = 70.4°, I 18
- 1.462 Å, 2θ = 63.7°, I 17

=====

For YBe4GeIr2, a cell relaxed with PBE gives the computed X-ray diffraction stick pattern in this record (copper Kα).
Intensities are scaled so that the largest is 100.

Structure:
a = 9.003 Å, b = 9.003 Å, c = 9.003 Å
α = 25.06°, β = 25.06°, γ = 25.06°
Sites, in units of the cell vectors:
Y1 0.000 0.000 0.000
Be1 0.109 0.109 0.109
Be2 0.409 0.409 0.409
Be3 0.591 0.591 0.591
Be4 0.891 0.891 0.891
Ge1 0.500 0.500 0.500
Ir1 0.248 0.248 0.248
Ir2 0.752 0.752 0.752

The 10 most intense peaks (10° ≤ 2θ ≤ 90°), most intense first:
- 3.005 Å, 2θ = 29.7°, I 100
- 2.351 Å, 2θ = 38.3°, I 56
- 1.953 Å, 2θ = 46.5°, I 35
- 1.454 Å, 2θ = 64.0°, I 25
- 1.637 Å, 2θ = 56.2°, I 20
- 3.275 Å, 2θ = 27.2°, I 18
- 4.358 Å, 2θ = 20.4°, I 16
- 1.255 Å, 2θ = 75.8°, I 15
- 2.179 Å, 2θ = 41.4°, I 15
- 1.502 Å, 2θ = 61.7°, I 14

=====

For KBe2GeOs, a cell relaxed with PBE gives the computed X-ray diffraction stick pattern in this record (copper Kα).
Intensities are scaled so that the largest is 100.

Structure:
a = 4.342 Å, b = 4.342 Å, c = 5.806 Å
α = 90.00°, β = 90.00°, γ = 90.00°
Sites, in units of the cell vectors:
K1 0.000 0.000 0.000
Be1 0.000 0.500 0.500
Be2 0.500 0.000 0.500
Ge1 0.000 0.000 0.500
Os1 0.500 0.500 0.000

The 10 most intense peaks (10° ≤ 2θ ≤ 90°), most intense first:
- 3.477 Å, 2θ = 25.6°, I 100
- 3.070 Å, 2θ = 29.1°, I 64
- 2.109 Å, 2θ = 42.9°, I 44
- 1.841 Å, 2θ = 49.5°, I 35
- 2.903 Å, 2θ = 30.8°, I 32
- 5.806 Å, 2θ = 15.3°, I 32
- 2.714 Å, 2θ = 33.0°, I 29
- 2.171 Å, 2θ = 41.6°, I 28
- 1.739 Å, 2θ = 52.6°, I 28
- 1.241 Å, 2θ = 76.8°, I 16

=====

For La2BeGe3, a cell relaxed with PBE gives the computed X-ray diffraction stick pattern in this record (copper Kα).
Intensities are scaled so that the largest is 100.

Structure:
a = 8.425 Å, b = 8.274 Å, c = 6.066 Å
α = 70.04°, β = 67.38°, γ = 42.59°
Sites, in units of the cell vectors:
La1 0.243 0.757 0.243
La2 0.250 0.250 0.250
La3 0.750 0.750 0.750
La4 0.757 0.243 0.757
Be1 0.333 0.333 0.667
Be2 0.667 0.667 0.333
Ge1 0.176 0.176 0.824
Ge2 0.181 0.644 0.819
Ge3 0.356 0.819 0.644
Ge4 0.644 0.181 0.356
Ge5 0.819 0.356 0.181
Ge6 0.824 0.824 0.176

The 10 most intense peaks (10° ≤ 2θ ≤ 90°), most intense first:
- 2.787 Å, 2θ = 32.1°, I 100
- 2.069 Å, 2θ = 43.8°, I 34
- 1.513 Å, 2θ = 61.3°, I 25
- 1.661 Å, 2θ = 55.3°, I 20
- 1.295 Å, 2θ = 73.0°, I 17
- 3.583 Å, 2θ = 24.8°, I 16
- 2.217 Å, 2θ = 40.7°, I 15
- 1.366 Å, 2θ = 68.7°, I 11
- 1.140 Å, 2θ = 85.1°, I 6
- 1.885 Å, 2θ = 48.3°, I 5